# 1
The following is a simulated PXRD pattern of Na4Cd3H2C4O14. It was derived from a crystal structure in Alexandria, relaxed with PBE, using Cu Kα, 1.54184 Å.
Lines closer than 0.1° are merged.

Largest 12 diffraction maxima, in order of falling intensity, 2θ from 10° to 90°:
2θ = 31.33°, I 100; 2θ = 32.71°, I 56; 2θ = 29.07°, I 52; 2θ = 28.64°, I 47; 2θ = 49.70°, I 35; 2θ = 27.95°, I 34; 2θ = 47.60°, I 26; 2θ = 31.64°, I 26; 2θ = 29.92°, I 26; 2θ = 18.96°, I 24; 2θ = 28.06°, I 23; 2θ = 48.65°, I 21

Cell and atoms:
abc: 9.480 3.503 19.401
angles: 90.00 99.15 90.00
Positions (direct):
Na 0.045 0.037 0.326
Na 0.045 0.463 0.826
Na 0.144 0.248 0.550
Na 0.144 0.252 0.050
Na 0.856 0.748 0.950
Na 0.856 0.752 0.450
Na 0.955 0.537 0.174
Na 0.955 0.963 0.674
Cd 0.420 0.035 0.820
Cd 0.420 0.465 0.320
Cd 0.500 0.000 0.500
Cd 0.500 0.500 0.000
Cd 0.580 0.535 0.680
Cd 0.580 0.965 0.180
H 0.383 0.545 0.120
H 0.383 0.955 0.620
H 0.617 0.045 0.380
H 0.617 0.455 0.880
C 0.214 0.603 0.433
C 0.214 0.897 0.933
C 0.232 0.587 0.695
C 0.232 0.913 0.195
C 0.768 0.087 0.805
C 0.768 0.413 0.305
C 0.786 0.103 0.067
C 0.786 0.397 0.567
O 0.104 0.739 0.954
O 0.104 0.761 0.454
O 0.122 0.040 0.217
O 0.122 0.460 0.717
O 0.213 0.538 0.367
O 0.213 0.962 0.867
O 0.224 0.750 0.135
O 0.224 0.750 0.635
O 0.324 0.507 0.481
O 0.324 0.993 0.981
O 0.361 0.550 0.735
O 0.361 0.950 0.235
O 0.482 0.027 0.613
O 0.482 0.473 0.113
O 0.518 0.527 0.887
O 0.518 0.973 0.387
O 0.639 0.050 0.765
O 0.639 0.450 0.265
O 0.676 0.007 0.019
O 0.676 0.493 0.519
O 0.776 0.250 0.365
O 0.776 0.250 0.865
O 0.787 0.038 0.133
O 0.787 0.462 0.633
O 0.878 0.540 0.283
O 0.878 0.960 0.783
O 0.896 0.239 0.546
O 0.896 0.261 0.046

---

# 2
The following is a simulated PXRD pattern of Hf3CdC. It was derived from a crystal structure in Alexandria, relaxed with PBE, using Cu Kα, 1.54184 Å.
Lines closer than 0.1° are merged.

Largest 12 diffraction maxima, in order of falling intensity, 2θ from 10° to 90°:
2θ = 33.83°, I 100; 2θ = 34.65°, I 93; 2θ = 39.52°, I 69; 2θ = 57.64°, I 46; 2θ = 40.19°, I 33; 2θ = 67.57°, I 27; 2θ = 69.01°, I 25; 2θ = 56.01°, I 13; 2θ = 69.49°, I 12; 2θ = 69.10°, I 12; 2θ = 71.16°, I 12; 2θ = 73.12°, I 11

Cell and atoms:
abc: 3.283 4.487 6.338
angles: 90.00 90.07 90.00
Positions (direct):
Hf 0.000 0.000 0.000
Hf 0.499 0.500 0.758
Hf 0.501 0.500 0.242
Cd 0.000 0.000 0.500
C 0.000 0.500 0.000

---

# 3
The following is a simulated PXRD pattern of CdHgC4Se4N4. It was derived from a crystal structure in Alexandria, relaxed with PBE, using Cu Kα, 1.54184 Å.
Lines closer than 0.1° are merged.

Largest 12 diffraction maxima, in order of falling intensity, 2θ from 10° to 90°:
2θ = 23.92°, I 100; 2θ = 14.96°, I 63; 2θ = 10.56°, I 45; 2θ = 42.16°, I 43; 2θ = 28.33°, I 34; 2θ = 32.18°, I 34; 2θ = 41.86°, I 28; 2θ = 35.66°, I 24; 2θ = 33.84°, I 23; 2θ = 18.55°, I 20; 2θ = 44.66°, I 17; 2θ = 21.21°, I 17

Cell and atoms:
abc: 8.775 8.775 8.775
angles: 95.09 95.09 145.35
Positions (direct):
Cd 0.000 0.000 0.000
Hg 0.750 0.250 0.500
C 0.137 0.298 0.709
C 0.572 0.863 0.161
C 0.588 0.428 0.291
C 0.702 0.412 0.839
Se 0.214 0.455 0.551
Se 0.337 0.786 0.242
Se 0.545 0.095 0.758
Se 0.905 0.663 0.449
N 0.094 0.198 0.812
N 0.386 0.282 0.188
N 0.718 0.906 0.104
N 0.802 0.614 0.896

---

# 4
The following is a simulated PXRD pattern of Ho2Cd2C. It was derived from a crystal structure in Alexandria, relaxed with PBE, using Cu Kα, 1.54184 Å.
Lines closer than 0.1° are merged.

Largest 12 diffraction maxima, in order of falling intensity, 2θ from 10° to 90°:
2θ = 31.30°, I 100; 2θ = 37.36°, I 66; 2θ = 51.46°, I 26; 2θ = 63.63°, I 25; 2θ = 34.80°, I 24; 2θ = 56.19°, I 18; 2θ = 61.47°, I 14; 2θ = 65.30°, I 12; 2θ = 84.23°, I 12; 2θ = 87.65°, I 11; 2θ = 67.81°, I 9; 2θ = 79.66°, I 7

Cell and atoms:
abc: 10.515 10.515 10.515
angles: 19.45 19.45 19.45
Positions (direct):
Ho 0.123 0.123 0.123
Ho 0.877 0.877 0.877
Cd 0.371 0.371 0.371
Cd 0.629 0.629 0.629
C 0.500 0.500 0.500

---

# 5
The following is a simulated PXRD pattern of Cd4IrC2. It was derived from a crystal structure in Alexandria, relaxed with PBE, using Cu Kα, 1.54184 Å.
Lines closer than 0.1° are merged.

Largest 12 diffraction maxima, in order of falling intensity, 2θ from 10° to 90°:
2θ = 32.38°, I 100; 2θ = 16.53°, I 88; 2θ = 29.75°, I 64; 2θ = 36.56°, I 50; 2θ = 44.54°, I 43; 2θ = 46.44°, I 36; 2θ = 22.74°, I 24; 2θ = 49.62°, I 21; 2θ = 56.81°, I 21; 2θ = 45.34°, I 21; 2θ = 40.80°, I 18; 2θ = 77.13°, I 15

Cell and atoms:
abc: 6.637 6.637 6.637
angles: 130.76 130.76 72.20
Positions (direct):
Cd 0.000 0.500 0.500
Cd 0.128 0.128 0.000
Cd 0.500 0.000 0.500
Cd 0.872 0.872 0.000
Ir 0.500 0.500 0.000
C 0.326 0.326 0.000
C 0.674 0.674 0.000

---

# 6
The following is a simulated PXRD pattern of KCdC. It was derived from a crystal structure in Alexandria, relaxed with PBE, using Cu Kα, 1.54184 Å.
Lines closer than 0.1° are merged.

Largest 12 diffraction maxima, in order of falling intensity, 2θ from 10° to 90°:
2θ = 26.45°, I 100; 2θ = 36.42°, I 100; 2θ = 34.98°, I 95; 2θ = 21.57°, I 59; 2θ = 46.72°, I 54; 2θ = 29.97°, I 47; 2θ = 25.83°, I 47; 2θ = 19.85°, I 44; 2θ = 40.56°, I 37; 2θ = 24.47°, I 35; 2θ = 33.80°, I 26; 2θ = 20.80°, I 26

Cell and atoms:
abc: 5.136 5.136 9.436
angles: 106.21 106.21 57.45
Positions (direct):
K 0.000 0.000 0.000
K 0.185 0.185 0.601
Cd 0.411 0.411 0.244
Cd 0.752 0.752 0.295
C 0.840 0.840 0.545
C 0.888 0.888 0.686

---

# 7
The following is a simulated PXRD pattern of K2CdC4N4. It was derived from a crystal structure in Alexandria, relaxed with PBE, using Cu Kα, 1.54184 Å.
Lines closer than 0.1° are merged.

Largest 12 diffraction maxima, in order of falling intensity, 2θ from 10° to 90°:
2θ = 22.59°, I 100; 2θ = 19.23°, I 78; 2θ = 39.04°, I 51; 2θ = 35.75°, I 41; 2θ = 33.64°, I 27; 2θ = 53.96°, I 25; 2θ = 52.46°, I 23; 2θ = 45.57°, I 15; 2θ = 61.53°, I 13; 2θ = 11.74°, I 12; 2θ = 60.16°, I 12; 2θ = 70.72°, I 10

Cell and atoms:
abc: 9.229 9.229 9.229
angles: 60.00 60.00 60.00
Positions (direct):
K 0.000 0.000 0.000
K 0.000 0.000 0.500
K 0.000 0.500 0.000
K 0.500 0.000 0.000
Cd 0.375 0.375 0.375
Cd 0.625 0.625 0.625
C 0.277 0.277 0.277
C 0.277 0.277 0.670
C 0.277 0.670 0.277
C 0.330 0.723 0.723
C 0.670 0.277 0.277
C 0.723 0.330 0.723
C 0.723 0.723 0.330
C 0.723 0.723 0.723
N 0.174 0.775 0.775
N 0.225 0.225 0.225
N 0.225 0.225 0.826
N 0.225 0.826 0.225
N 0.775 0.174 0.775
N 0.775 0.775 0.174
N 0.775 0.775 0.775
N 0.826 0.225 0.225

---

# 8
The following is a simulated PXRD pattern of KCdC3O6. It was derived from a crystal structure in Alexandria, relaxed with PBE, using Cu Kα, 1.54184 Å.
Lines closer than 0.1° are merged.

Largest 12 diffraction maxima, in order of falling intensity, 2θ from 10° to 90°:
2θ = 17.68°, I 100; 2θ = 16.47°, I 69; 2θ = 15.46°, I 35; 2θ = 31.55°, I 32; 2θ = 18.81°, I 26; 2θ = 29.05°, I 24; 2θ = 27.22°, I 21; 2θ = 33.29°, I 20; 2θ = 31.21°, I 20; 2θ = 37.69°, I 18; 2θ = 30.72°, I 17; 2θ = 41.39°, I 16

Cell and atoms:
abc: 7.451 7.451 7.441
angles: 94.90 94.90 78.57
Positions (direct):
K 0.122 0.878 0.750
K 0.878 0.122 0.250
Cd 0.000 0.500 0.000
Cd 0.500 0.000 0.500
C 0.228 0.772 0.250
C 0.263 0.368 0.666
C 0.368 0.263 0.166
C 0.632 0.737 0.834
C 0.737 0.632 0.334
C 0.772 0.228 0.750
O 0.112 0.770 0.117
O 0.175 0.501 0.757
O 0.198 0.279 0.167
O 0.230 0.888 0.383
O 0.279 0.198 0.667
O 0.499 0.825 0.743
O 0.501 0.175 0.257
O 0.721 0.802 0.333
O 0.770 0.112 0.617
O 0.802 0.721 0.833
O 0.825 0.499 0.243
O 0.888 0.230 0.883